Computed powder diffraction line list
Compound: LaPr3Er2
Radiation: Cu Kα
Structure: a cell relaxed with PBE

The 10 most intense peaks (10 to 90 degrees two-theta), sorted by position:
2θ (°), Rel. int.
29.98, 100.0
34.76, 50.7
49.96, 30.3
50.04, 6.0
59.38, 43.2
62.26, 6.2
62.36, 6.2
81.17, 8.8
81.29, 8.8
83.79, 13.7

Atomic structure:
```
LaPr3Er2
1.0
0.000 5.164 10.960
3.645 0.000 10.960
3.645 5.164 0.000
La Pr Er
2 6 4
direct
0.125 0.125 0.125
0.875 0.875 0.875
0.042 0.042 0.708
0.292 0.292 0.958
0.375 0.375 0.375
0.625 0.625 0.625
0.708 0.708 0.042
0.958 0.958 0.292
0.210 0.210 0.540
0.460 0.460 0.790
0.540 0.540 0.210
0.790 0.790 0.460
```